For Pm3Pr2Cd2, a DFT-relaxed cell (GGA-PBE, Alexandria) gives the computed X-ray powder pattern in this record (λ = 1.5418 Å (Cu Kα)).
Peak positions follow from Bragg's law for the DFT cell and can differ from measured ones.

Top 10 peaks for 2θ from 5° to 70°, sorted by position:
hkl, d/Å, Rel. int.
0 1 5, 3.447, 8
1 0 7, 2.843, 92
1 1 0, 2.784, 100
0 2 7, 1.989, 33
0 1 14, 1.653, 19
2 1 7, 1.618, 34
3 0 0, 1.607, 19
2 0 14, 1.422, 7
1 1 15, 1.415, 3
2 2 0, 1.392, 12

Cell and atoms:
a b c (Å): 5.5676 5.5676 24.6426
angles (deg): 90.00 90.00 120.00
Space group R-3m (No. 166, hexagonal axes)
Inequivalent atoms, fractional coordinates:
1 Pm 0.0000 0.0000 0.0000 (multiplicity 3)
2 Pm 0.0000 0.0000 0.1576 (multiplicity 6)
3 Pr 0.0000 0.0000 0.4249 (multiplicity 6)
4 Cd 0.0000 0.0000 0.2883 (multiplicity 6)

***

For PmPr3Cd6, a DFT-relaxed cell (GGA-PBE, Alexandria) gives the computed X-ray powder pattern in this record (λ = 1.5418 Å (Cu Kα)).
Peak positions follow from Bragg's law for the DFT cell and can differ from measured ones.

Top 10 peaks for 2θ from 5° to 70°, sorted by position:
hkl, d/Å, Rel. int.
3 1 -1, 2.722, 100
2 0 -4, 2.684, 49
1 1 3, 2.682, 95
0 2 0, 2.641, 48
4 0 2, 1.939, 16
2 2 -4, 1.883, 34
5 1 -5, 1.564, 33
3 3 -1, 1.541, 33
1 3 3, 1.532, 17
6 2 -2, 1.361, 10

Cell and atoms:
a b c (Å): 9.528 5.282 11.342
angles (deg): 90.00 105.51 90.00
Space group P2_1/m (No. 11)
Inequivalent atoms, fractional coordinates:
1 Pm 0.056 0.250 0.390 (multiplicity 2)
2 Pr 0.235 0.250 0.996 (multiplicity 2)
3 Pr 0.350 0.750 0.785 (multiplicity 2)
4 Pr 0.477 0.250 0.609 (multiplicity 2)
5 Cd 0.050 0.750 0.898 (multiplicity 2)
6 Cd 0.141 0.250 0.691 (multiplicity 2)
7 Cd 0.145 0.750 0.191 (multiplicity 2)
8 Cd 0.233 0.750 0.488 (multiplicity 2)
9 Cd 0.333 0.250 0.290 (multiplicity 2)
10 Cd 0.449 0.750 0.090 (multiplicity 2)

***

For PmPrTlCd, a DFT-relaxed cell (GGA-PBE, Alexandria) gives the computed X-ray powder pattern in this record (λ = 1.5418 Å (Cu Kα)).
Peak positions follow from Bragg's law for the DFT cell and can differ from measured ones.

Top 8 peaks for 2θ from 5° to 70°, sorted by position:
hkl, d/Å, Rel. int.
1 1 1, 4.490, 4
2 2 0, 2.749, 100
3 1 1, 2.345, 3
4 0 0, 1.944, 18
3 3 1, 1.784, 1
4 2 2, 1.587, 38
5 1 1, 1.497, 1
4 4 0, 1.375, 12

Cell and atoms:
a b c (Å): 7.777 7.777 7.777
angles (deg): 90.00 90.00 90.00
Space group F-43m (No. 216)
Inequivalent atoms, fractional coordinates:
1 Pm 0.000 0.000 0.000 (multiplicity 4)
2 Pr 0.000 0.000 0.500 (multiplicity 4)
3 Tl 0.250 0.250 0.250 (multiplicity 4)
4 Cd 0.250 0.250 0.750 (multiplicity 4)

***

For Pm6CdPt2, a DFT-relaxed cell (GGA-PBE, Alexandria) gives the computed X-ray powder pattern in this record (λ = 1.5418 Å (Cu Kα)).
Peak positions follow from Bragg's law for the DFT cell and can differ from measured ones.

Top 10 peaks for 2θ from 5° to 70°, sorted by position:
hkl, d/Å, Rel. int.
1 1 0, 6.942, 44
2 2 2, 2.916, 74
2 1 3, 2.764, 84
1 3 2, 2.722, 100
2 3 1, 2.659, 88
3 2 1, 2.620, 43
4 0 0, 2.406, 38
3 0 3, 2.391, 38
0 2 4, 2.369, 38
5 3 2, 1.593, 44

Cell and atoms:
a b c (Å): 9.622 10.024 10.757
angles (deg): 90.00 90.00 90.00
Space group Immm (No. 71)
Inequivalent atoms, fractional coordinates:
1 Pm 0.000 0.198 0.236 (multiplicity 8)
2 Pm 0.196 0.500 0.171 (multiplicity 8)
3 Pm 0.210 0.319 0.500 (multiplicity 8)
4 Cd 0.000 0.000 0.000 (multiplicity 2)
5 Cd 0.000 0.000 0.500 (multiplicity 2)
6 Pt 0.000 0.341 0.000 (multiplicity 4)
7 Pt 0.000 0.500 0.368 (multiplicity 4)